Simulated powder XRD pattern of Dy7Sn2Pt2 for Cu Kα, 1.54184 Å, from a structure optimized by DFT (PBE).
Peak positions follow from Bragg's law for the DFT cell and can differ from measured ones.

Main lines, sorted by position (10° ≤ 2θ ≤ 90°):
2θ/deg  intensity
24.9  44
28.7  29
32.5  55
33.4  29
37.0  40
37.3  100

Atomic structure:
Cell lengths 6.894, 6.894, 7.038 Å; angles 90.00, 90.00, 106.06 degrees
Sites, in units of the cell vectors:
Dy 0.000 0.000 0.000
Dy 0.000 0.500 0.252
Dy 0.000 0.500 0.748
Dy 0.500 0.000 0.252
Dy 0.500 0.000 0.748
Dy 0.500 0.500 0.241
Dy 0.500 0.500 0.759
Sn 0.180 0.180 0.500
Sn 0.820 0.820 0.500
Pt 0.285 0.715 0.000
Pt 0.715 0.285 0.000